No. 1
Starting from DFT lattice parameters and positions (PBE), the powder X-ray diffraction pattern of K3SrCu2F9 was simulated for copper Kα.
Intensities are scaled so that the largest is 100.

Top 10 peaks for 10 to 90 degrees two-theta, sorted by position:
| two_theta | intensity |
| --- | --- |
| 20.66 | 77 |
| 28.80 | 90 |
| 29.95 | 88 |
| 42.03 | 100 |
| 46.50 | 21 |
| 48.03 | 16 |
| 52.46 | 30 |
| 53.17 | 16 |
| 59.65 | 23 |
| 62.22 | 28 |

Crystal structure
a b c (Å): 5.9678 5.9678 7.7485
angles (deg): 90.00 90.00 120.00
Sites, in units of the cell vectors:
K: 0.0000 0.0000 0.0000
K: 0.3333 0.6667 0.7178
K: 0.6667 0.3333 0.2822
Sr: 0.0000 0.0000 0.5000
Cu: 0.3333 0.6667 0.1520
Cu: 0.6667 0.3333 0.8480
F: 0.0000 0.5000 0.0000
F: 0.1741 0.3482 0.3018
F: 0.1741 0.8259 0.3018
F: 0.3482 0.1741 0.6982
F: 0.5000 0.0000 0.0000
F: 0.5000 0.5000 0.0000
F: 0.6518 0.8259 0.3018
F: 0.8259 0.1741 0.6982
F: 0.8259 0.6518 0.6982

***

No. 2
Starting from DFT lattice parameters and positions (PBE), the powder X-ray diffraction pattern of K2SrCuF8 was simulated for copper Kα.
Intensities are scaled so that the largest is 100.

Top 10 peaks for 10 to 90 degrees two-theta, sorted by position:
| two_theta | intensity |
| --- | --- |
| 18.08 | 100 |
| 31.59 | 90 |
| 32.33 | 51 |
| 39.11 | 36 |
| 41.74 | 58 |
| 45.83 | 55 |
| 56.73 | 26 |
| 58.12 | 15 |
| 63.27 | 16 |
| 65.97 | 21 |

Crystal structure
a b c (Å): 5.6639 5.6639 6.7093
angles (deg): 90.00 90.00 120.00
Sites, in units of the cell vectors:
K: 0.3333 0.6667 0.3628
K: 0.6667 0.3333 0.6372
Sr: 0.0000 0.0000 0.0000
Cu: 0.0000 0.0000 0.5000
F: 0.1514 0.3028 0.6766
F: 0.1514 0.8486 0.6766
F: 0.3028 0.1514 0.3234
F: 0.3333 0.6667 0.9916
F: 0.6667 0.3333 0.0084
F: 0.6972 0.8486 0.6766
F: 0.8486 0.1514 0.3234
F: 0.8486 0.6972 0.3234

***

No. 3
Starting from DFT lattice parameters and positions (PBE), the powder X-ray diffraction pattern of K2TlCu3F12 was simulated for copper Kα.
Intensities are scaled so that the largest is 100.

Top 10 peaks for 10 to 90 degrees two-theta, sorted by position:
| two_theta | intensity |
| --- | --- |
| 14.69 | 100 |
| 17.02 | 18 |
| 28.39 | 72 |
| 28.56 | 34 |
| 29.63 | 45 |
| 29.94 | 20 |
| 45.11 | 23 |
| 49.30 | 29 |
| 49.70 | 20 |
| 69.07 | 16 |

Crystal structure
a b c (Å): 7.3378 7.3378 7.3378
angles (deg): 60.51 60.51 60.51
Sites, in units of the cell vectors:
K: 0.1170 0.1170 0.1170
K: 0.8830 0.8830 0.8830
Tl: 0.5000 0.5000 0.5000
Cu: 0.0000 0.5000 0.5000
Cu: 0.5000 0.0000 0.5000
Cu: 0.5000 0.5000 0.0000
F: 0.1328 0.6026 0.6026
F: 0.1993 0.1993 0.5889
F: 0.1993 0.5889 0.1993
F: 0.3974 0.3974 0.8672
F: 0.3974 0.8672 0.3974
F: 0.4111 0.8007 0.8007
F: 0.5889 0.1993 0.1993
F: 0.6026 0.1328 0.6026
F: 0.6026 0.6026 0.1328
F: 0.8007 0.4111 0.8007
F: 0.8007 0.8007 0.4111
F: 0.8672 0.3974 0.3974